No. 1
The following is a simulated PXRD pattern of K4Np3VN8. It was derived from a GGA-PBE-relaxed structure, using a wavelength of 1.5418 Å.
Peak positions follow from Bragg's law for the DFT cell and can differ from measured ones.

Top 10 peaks for 5 to 70 degrees two-theta, in order of rising 2θ:
2θ (°), I_rel
13.9, 100
28.0, 36
30.8, 36
31.9, 68
35.9, 75
45.4, 19
49.2, 26
54.1, 23
56.2, 18
62.0, 25

Crystal structure
```
data_K4Np3VN8
_chemical_formula_sum 'K12 Np9 V3 N24'
_cell_length_a 6.7794
_cell_length_b 6.7794
_cell_length_c 19.0982
_cell_angle_alpha 90.00
_cell_angle_beta 90.00
_cell_angle_gamma 120.00
_symmetry_space_group_name_H-M 'R -3 m'
_symmetry_Int_Tables_number 166
_symmetry_space_group_name_Hall '-R 3 2"'
loop_
_atom_site_label
_atom_site_fract_x
_atom_site_fract_y
_atom_site_fract_z
_atom_site_occupancy
K1 0.0000 0.0000 0.0000 1
K2 0.0000 0.5000 0.0000 1
Np1 0.0000 0.5000 0.5000 1
V1 0.0000 0.0000 0.5000 1
N1 0.0000 0.0000 0.2215 1
N2 0.0023 0.5011 0.2202 1
```

No. 2
The following is a simulated PXRD pattern of Ba2PuMnSe5. It was derived from a GGA-PBE-relaxed structure, using a wavelength of 1.5418 Å.
Peak positions follow from Bragg's law for the DFT cell and can differ from measured ones.

Top 10 peaks for 5 to 70 degrees two-theta, in order of rising 2θ:
2θ (°), I_rel
9.5, 13
16.3, 19
22.1, 18
29.0, 100
29.5, 42
34.4, 42
41.5, 23
44.7, 12
48.4, 17
51.7, 20

Crystal structure
```
data_Ba2PuMnSe5
_chemical_formula_sum 'Ba8 Pu4 Mn4 Se20'
_cell_length_a 4.3555
_cell_length_b 18.6616
_cell_length_c 13.3842
_cell_angle_alpha 90.00
_cell_angle_beta 90.00
_cell_angle_gamma 90.00
_symmetry_space_group_name_H-M 'C m c 21'
_symmetry_Int_Tables_number 36
_symmetry_space_group_name_Hall 'C 2c -2'
loop_
_atom_site_label
_atom_site_fract_x
_atom_site_fract_y
_atom_site_fract_z
_atom_site_occupancy
Ba1 0.0000 0.1186 0.0000 1
Ba2 0.0000 0.1226 0.6399 1
Pu1 0.0000 0.1991 0.3345 1
Mn1 0.0000 0.4401 0.7409 1
Se1 0.0000 0.0448 0.3329 1
Se2 0.0000 0.2993 0.9747 1
Se3 0.0000 0.3107 0.6886 1
Se4 0.0000 0.3489 0.3210 1
Se5 0.0000 0.5002 0.0807 1
```

No. 3
The following is a simulated PXRD pattern of Pm6P3S2. It was derived from a GGA-PBE-relaxed structure, using a wavelength of 1.5418 Å.
Peak positions follow from Bragg's law for the DFT cell and can differ from measured ones.

Top 10 peaks for 5 to 70 degrees two-theta, in order of rising 2θ:
2θ (°), I_rel
26.8, 69
26.8, 23
31.0, 100
44.4, 37
44.5, 36
52.6, 26
52.7, 18
55.2, 19
55.3, 6
64.7, 12

Crystal structure
```
data_Pm6P3S2
_chemical_formula_sum 'Pm12 P6 S4'
_cell_length_a 7.0740
_cell_length_b 12.2302
_cell_length_c 7.0475
_cell_angle_alpha 90.00
_cell_angle_beta 109.54
_cell_angle_gamma 90.00
_symmetry_space_group_name_H-M 'C 1 2/m 1'
_symmetry_Int_Tables_number 12
_symmetry_space_group_name_Hall '-C 2y'
loop_
_atom_site_label
_atom_site_fract_x
_atom_site_fract_y
_atom_site_fract_z
_atom_site_occupancy
Pm1 0.2442 0.1702 0.2445 1
Pm2 0.2458 0.0000 0.7597 1
P1 0.0000 0.0000 0.0000 1
P2 0.0000 0.3326 0.0000 1
S1 0.0000 0.1662 0.5000 1
```

No. 4
The following is a simulated PXRD pattern of ZrSiSn3. It was derived from a GGA-PBE-relaxed structure, using a wavelength of 1.5418 Å.
Peak positions follow from Bragg's law for the DFT cell and can differ from measured ones.

Top 9 peaks for 5 to 70 degrees two-theta, in order of rising 2θ:
2θ (°), I_rel
17.3, 5
30.2, 100
35.0, 66
39.3, 3
50.4, 47
53.6, 1
59.8, 45
62.8, 16
65.7, 1

Crystal structure
```
data_ZrSiSn3
_chemical_formula_sum 'Zr1 Si1 Sn3'
_cell_length_a 5.1258
_cell_length_b 5.1258
_cell_length_c 5.1258
_cell_angle_alpha 90.00
_cell_angle_beta 90.00
_cell_angle_gamma 90.00
_symmetry_space_group_name_H-M 'P m -3 m'
_symmetry_Int_Tables_number 221
_symmetry_space_group_name_Hall '-P 4 2 3'
loop_
_atom_site_label
_atom_site_fract_x
_atom_site_fract_y
_atom_site_fract_z
_atom_site_occupancy
Zr1 0.0000 0.0000 0.0000 1
Si1 0.5000 0.5000 0.5000 1
Sn1 0.0000 0.5000 0.5000 1
```